No. 1
Diffraction record for Co16Re13. The PXRD pattern is computed, not measured: it uses the GGA-PBE geometry in OQMD and Cu Kα X-rays.
Intensities are scaled so that the largest is 100.

Cell and atoms:
```
Co16Re13
1.0
-4.5370 4.5370 4.5370
4.5370 -4.5370 4.5370
4.5370 4.5370 -4.5370
Co Re
16 13
Direct
0.0000 0.0000 0.6616
0.0000 0.4004 0.6860
0.0000 0.6616 0.0000
0.0000 0.6860 0.4004
0.2855 0.5996 0.5996
0.3140 0.3140 0.7145
0.3140 0.7145 0.3140
0.3384 0.3384 0.3384
0.4004 0.0000 0.6860
0.4004 0.6860 0.0000
0.5996 0.2855 0.5996
0.5996 0.5996 0.2855
0.6616 0.0000 0.0000
0.6860 0.0000 0.4004
0.6860 0.4004 0.0000
0.7145 0.3140 0.3140
0.0000 0.0000 0.0000
0.0000 0.1987 0.3874
0.0000 0.3874 0.1987
0.1888 0.8013 0.8013
0.1987 0.0000 0.3874
0.1987 0.3874 0.0000
0.3874 0.0000 0.1987
0.3874 0.1987 0.0000
0.6126 0.6126 0.8112
0.6126 0.8112 0.6126
0.8013 0.1888 0.8013
0.8013 0.8013 0.1888
0.8112 0.6126 0.6126
```

Principal peaks in the range 15° ≤ 2θ ≤ 90°, in order of rising 2θ:
2θ 24.0, 3.704 Å, I 45
2θ 31.2, 2.869 Å, I 14
2θ 34.2, 2.619 Å, I 15
2θ 37.1, 2.425 Å, I 19
2θ 42.3, 2.139 Å, I 100
2θ 47.0, 1.935 Å, I 62
2θ 49.2, 1.852 Å, I 14
2θ 51.3, 1.780 Å, I 48
2θ 73.8, 1.283 Å, I 31
2θ 77.3, 1.235 Å, I 21

No. 2
Diffraction record for Co8Re5. The PXRD pattern is computed, not measured: it uses the GGA-PBE geometry in OQMD and Cu Kα X-rays.
Intensities are scaled so that the largest is 100.

Cell and atoms:
```
Co8Re5
1.0
2.3116 1.3346 8.4955
-2.3116 1.3346 8.4955
0.0000 -2.6692 8.4955
Co Re
8 5
Direct
0.0844 0.5924 0.5924
0.1527 0.1527 0.1527
0.4076 0.4076 0.9156
0.4076 0.9156 0.4076
0.5924 0.0844 0.5924
0.5924 0.5924 0.0844
0.8473 0.8473 0.8473
0.9156 0.4076 0.4076
0.0487 0.0487 0.0487
0.3392 0.3392 0.3392
0.5000 0.5000 0.5000
0.6608 0.6608 0.6608
0.9513 0.9513 0.9513
```

Principal peaks in the range 15° ≤ 2θ ≤ 90°, in order of rising 2θ:
2θ 33.3, 2.694 Å, I 36
2θ 39.0, 2.312 Å, I 100
2θ 42.0, 2.150 Å, I 46
2θ 44.6, 2.030 Å, I 73
2θ 45.2, 2.005 Å, I 45
2θ 48.9, 1.863 Å, I 24
2θ 51.9, 1.761 Å, I 24
2θ 52.1, 1.754 Å, I 32
2θ 79.4, 1.207 Å, I 23
2θ 83.7, 1.156 Å, I 25

No. 3
Diffraction record for Co8Re5. The PXRD pattern is computed, not measured: it uses the GGA-PBE geometry in OQMD and Cu Kα X-rays.
Intensities are scaled so that the largest is 100.

Cell and atoms:
```
Co8Re5
1.0
2.3207 1.3398 8.4784
-2.3207 1.3398 8.4784
0.0000 -2.6797 8.4784
Co Re
8 5
Direct
0.0884 0.0884 0.5833
0.0884 0.5833 0.0884
0.1637 0.1637 0.1637
0.4167 0.9116 0.9116
0.5833 0.0884 0.0884
0.8363 0.8363 0.8363
0.9116 0.4167 0.9116
0.9116 0.9116 0.4167
0.0000 0.0000 0.0000
0.3471 0.3471 0.3471
0.4528 0.4528 0.4528
0.5472 0.5472 0.5472
0.6529 0.6529 0.6529
```

Principal peaks in the range 15° ≤ 2θ ≤ 90°, in order of rising 2θ:
2θ 22.4, 3.970 Å, I 20
2θ 23.2, 3.833 Å, I 25
2θ 31.7, 2.826 Å, I 23
2θ 38.8, 2.321 Å, I 100
2θ 42.0, 2.149 Å, I 47
2θ 44.5, 2.036 Å, I 72
2θ 45.2, 2.004 Å, I 87
2θ 50.9, 1.793 Å, I 50
2θ 74.8, 1.270 Å, I 28
2θ 83.3, 1.160 Å, I 25